Starting from a DFT-relaxed cell (PBE, the Materials Project), the powder diffractogram of CeCoRh was simulated for a wavelength of 1.5418 Å.
Lines closer than 0.1° are merged.

Largest 10 diffraction maxima, sorted by position, 15 to 90 degrees two-theta:
- 2θ 34.7, I = 65.0
- 2θ 35.4, I = 26.7
- 2θ 39.9, I = 100.0
- 2θ 41.1, I = 31.4
- 2θ 41.3, I = 50.9
- 2θ 41.5, I = 37.5
- 2θ 41.8, I = 24.4
- 2θ 43.6, I = 28.4
- 2θ 66.6, I = 21.6
- 2θ 73.3, I = 34.0

Atomic structure:
a = 5.0672 Å, b = 5.3943 Å, c = 7.2232 Å
α = 90.00°, β = 90.00°, γ = 90.00°
Atoms (fractional coordinates):
Ce1 0.0000 0.2500 0.1183
Ce2 0.0000 0.7500 0.8817
Ce3 0.5000 0.2500 0.3817
Ce4 0.5000 0.7500 0.6183
Co1 0.2500 0.2500 0.7500
Co2 0.2500 0.7500 0.2500
Co3 0.7500 0.2500 0.7500
Co4 0.7500 0.7500 0.2500
Rh1 0.0000 0.0000 0.5000
Rh2 0.0000 0.5000 0.5000
Rh3 0.5000 0.0000 0.0000
Rh4 0.5000 0.5000 0.0000


Starting from a DFT-relaxed cell (PBE, the Materials Project), the powder diffractogram of BaMg14B was simulated for a wavelength of 1.5418 Å.
Lines closer than 0.1° are merged.

Largest 10 diffraction maxima, sorted by position, 15 to 90 degrees two-theta:
- 2θ 15.8, I = 18.1
- 2θ 18.0, I = 42.0
- 2θ 28.9, I = 18.6
- 2θ 30.1, I = 20.0
- 2θ 32.0, I = 26.8
- 2θ 34.1, I = 23.3
- 2θ 36.4, I = 100.0
- 2θ 47.5, I = 16.3
- 2θ 57.0, I = 17.6
- 2θ 68.1, I = 17.1

Atomic structure:
a = 6.4649 Å, b = 6.4649 Å, c = 10.5084 Å
α = 90.00°, β = 90.00°, γ = 120.00°
Atoms (fractional coordinates):
Ba1 0.0000 0.0000 0.0000
Mg1 0.0124 0.5062 0.0000
Mg2 0.1634 0.3268 0.2781
Mg3 0.1634 0.3268 0.7219
Mg4 0.1634 0.8366 0.2781
Mg5 0.1634 0.8366 0.7219
Mg6 0.4938 0.5062 0.0000
Mg7 0.4938 0.9876 0.0000
Mg8 0.5059 0.0118 0.5000
Mg9 0.5059 0.4941 0.5000
Mg10 0.6667 0.3333 0.2398
Mg11 0.6667 0.3333 0.7602
Mg12 0.6732 0.8366 0.2781
Mg13 0.6732 0.8366 0.7219
Mg14 0.9882 0.4941 0.5000
B1 0.0000 0.0000 0.5000


Starting from a DFT-relaxed cell (PBE, the Materials Project), the powder diffractogram of HgNCl was simulated for a wavelength of 1.5418 Å.
Lines closer than 0.1° are merged.

Largest 10 diffraction maxima, sorted by position, 15 to 90 degrees two-theta:
- 2θ 22.1, I = 40.1
- 2θ 22.4, I = 26.6
- 2θ 26.1, I = 41.6
- 2θ 26.3, I = 55.5
- 2θ 27.4, I = 39.4
- 2θ 31.7, I = 53.0
- 2θ 34.6, I = 100.0
- 2θ 35.5, I = 28.3
- 2θ 35.6, I = 24.4
- 2θ 42.4, I = 43.9

Atomic structure:
a = 7.9514 Å, b = 13.0254 Å, c = 4.0142 Å
α = 90.00°, β = 90.00°, γ = 90.00°
Atoms (fractional coordinates):
Hg1 0.0000 0.0000 0.0000
Hg2 0.0000 0.5000 0.0000
Hg3 0.5000 0.0000 0.0000
Hg4 0.5000 0.5000 0.0000
N1 0.2500 0.2072 0.0250
N2 0.2500 0.2928 0.0250
N3 0.7500 0.7071 0.9750
N4 0.7500 0.7929 0.9750
Cl1 0.2500 0.5415 0.5127
Cl2 0.2500 0.9585 0.5127
Cl3 0.7500 0.0415 0.4873
Cl4 0.7500 0.4585 0.4873


Starting from a DFT-relaxed cell (PBE, the Materials Project), the powder diffractogram of YZn was simulated for a wavelength of 1.5418 Å.
Lines closer than 0.1° are merged.

Largest 9 diffraction maxima, sorted by position, 15 to 90 degrees two-theta:
- 2θ 26.0, I = 2.9
- 2θ 30.2, I = 100.0
- 2θ 43.2, I = 73.2
- 2θ 51.1, I = 1.2
- 2θ 53.6, I = 25.3
- 2θ 62.7, I = 11.5
- 2θ 69.1, I = 0.5
- 2θ 71.2, I = 31.0
- 2θ 79.2, I = 22.8

Atomic structure:
a = 5.9260 Å, b = 5.9260 Å, c = 5.9260 Å
α = 90.00°, β = 90.00°, γ = 90.00°
Atoms (fractional coordinates):
Y1 0.0000 0.0000 0.0000
Y2 0.0000 0.5000 0.5000
Y3 0.5000 0.0000 0.5000
Y4 0.5000 0.5000 0.0000
Zn1 0.0000 0.0000 0.5000
Zn2 0.0000 0.5000 0.0000
Zn3 0.5000 0.0000 0.0000
Zn4 0.5000 0.5000 0.5000


Starting from a DFT-relaxed cell (PBE, the Materials Project), the powder diffractogram of TaMnAs was simulated for a wavelength of 1.5418 Å.
Lines closer than 0.1° are merged.

Largest 10 diffraction maxima, sorted by position, 15 to 90 degrees two-theta:
- 2θ 25.4, I = 84.2
- 2θ 29.5, I = 2.5
- 2θ 42.2, I = 100.0
- 2θ 49.9, I = 41.4
- 2θ 52.3, I = 0.9
- 2θ 61.1, I = 16.4
- 2θ 67.3, I = 17.0
- 2θ 69.3, I = 1.3
- 2θ 77.1, I = 33.2
- 2θ 82.7, I = 13.1

Atomic structure:
a = 6.0629 Å, b = 6.0629 Å, c = 6.0629 Å
α = 90.00°, β = 90.00°, γ = 90.00°
Atoms (fractional coordinates):
Ta1 0.0000 0.0000 0.0000
Ta2 0.0000 0.5000 0.5000
Ta3 0.5000 0.0000 0.5000
Ta4 0.5000 0.5000 0.0000
Mn1 0.2500 0.2500 0.7500
Mn2 0.2500 0.7500 0.2500
Mn3 0.7500 0.2500 0.2500
Mn4 0.7500 0.7500 0.7500
As1 0.2500 0.2500 0.2500
As2 0.2500 0.7500 0.7500
As3 0.7500 0.2500 0.7500
As4 0.7500 0.7500 0.2500


Starting from a DFT-relaxed cell (PBE, the Materials Project), the powder diffractogram of Y2Ga9Ir3 was simulated for a wavelength of 1.5418 Å.
Lines closer than 0.1° are merged.

Largest 10 diffraction maxima, sorted by position, 15 to 90 degrees two-theta:
- 2θ 18.6, I = 32.5
- 2θ 23.4, I = 40.9
- 2θ 30.1, I = 61.3
- 2θ 36.9, I = 63.4
- 2θ 41.1, I = 100.0
- 2θ 44.9, I = 48.4
- 2θ 45.5, I = 51.4
- 2θ 51.8, I = 27.5
- 2θ 63.6, I = 23.5
- 2θ 68.2, I = 24.1

Atomic structure:
a = 7.6022 Å, b = 7.6022 Å, c = 9.5168 Å
α = 90.00°, β = 90.00°, γ = 60.06°
Atoms (fractional coordinates):
Y1 0.0031 0.6678 0.7500
Y2 0.3322 0.9969 0.7500
Y3 0.6678 0.0031 0.2500
Y4 0.9969 0.3322 0.2500
Ga1 0.0006 0.3338 0.5797
Ga2 0.0006 0.3338 0.9203
Ga3 0.1270 0.8730 0.2500
Ga4 0.3330 0.6670 0.5634
Ga5 0.3330 0.6670 0.9366
Ga6 0.3338 0.0006 0.0797
Ga7 0.3338 0.0006 0.4203
Ga8 0.3387 0.4543 0.2500
Ga9 0.4543 0.3387 0.7500
Ga10 0.5457 0.6613 0.2500
Ga11 0.6613 0.5457 0.7500
Ga12 0.6662 0.9994 0.5797
Ga13 0.6662 0.9994 0.9203
Ga14 0.6670 0.3330 0.0634
Ga15 0.6670 0.3330 0.4366
Ga16 0.8730 0.1270 0.7500
Ga17 0.9994 0.6662 0.0797
Ga18 0.9994 0.6662 0.4203
Ir1 0.0000 0.0000 0.0000
Ir2 0.0000 0.0000 0.5000
Ir3 0.3286 0.3286 0.0000
Ir4 0.3286 0.3286 0.5000
Ir5 0.6714 0.6714 0.0000
Ir6 0.6714 0.6714 0.5000


Starting from a DFT-relaxed cell (PBE, the Materials Project), the powder diffractogram of Ce2SbO2 was simulated for a wavelength of 1.5418 Å.
Lines closer than 0.1° are merged.

Largest 10 diffraction maxima, sorted by position, 15 to 90 degrees two-theta:
- 2θ 30.6, I = 100.0
- 2θ 31.2, I = 92.1
- 2θ 31.6, I = 78.5
- 2θ 43.3, I = 14.2
- 2θ 45.2, I = 39.9
- 2θ 54.5, I = 19.8
- 2θ 55.2, I = 27.9
- 2θ 55.6, I = 18.3
- 2θ 56.0, I = 17.4
- 2θ 56.3, I = 16.3

Atomic structure:
a = 5.6771 Å, b = 5.6655 Å, c = 6.8191 Å
α = 90.00°, β = 113.06°, γ = 90.00°
Atoms (fractional coordinates):
Ce1 0.1621 0.0000 0.3090
Ce2 0.3379 0.5000 0.6910
Ce3 0.6621 0.5000 0.3090
Ce4 0.8379 0.0000 0.6910
Sb1 0.0000 0.5000 0.0000
Sb2 0.5000 0.0000 0.0000
O1 0.0000 0.2499 0.5000
O2 0.0000 0.7501 0.5000
O3 0.5000 0.2501 0.5000
O4 0.5000 0.7499 0.5000


Starting from a DFT-relaxed cell (PBE, the Materials Project), the powder diffractogram of SrEuNbBiO6 was simulated for a wavelength of 1.5418 Å.
Lines closer than 0.1° are merged.

Largest 10 diffraction maxima, sorted by position, 15 to 90 degrees two-theta:
- 2θ 29.3, I = 30.5
- 2θ 29.8, I = 100.0
- 2θ 30.0, I = 33.3
- 2θ 30.3, I = 31.4
- 2θ 42.7, I = 28.6
- 2θ 42.8, I = 16.9
- 2θ 52.3, I = 14.8
- 2θ 53.5, I = 21.5
- 2θ 53.7, I = 15.9
- 2θ 61.9, I = 10.0

Atomic structure:
a = 5.8931 Å, b = 6.0920 Å, c = 8.4456 Å
α = 90.12°, β = 90.31°, γ = 90.08°
Atoms (fractional coordinates):
Sr1 0.0123 0.0522 0.2497
Sr2 0.9877 0.9478 0.7503
Eu1 0.4832 0.5543 0.2516
Eu2 0.5168 0.4457 0.7484
Nb1 0.0000 0.5000 0.0000
Nb2 0.5000 0.0000 0.5000
Bi1 0.0000 0.5000 0.5000
Bi2 0.5000 0.0000 0.0000
O1 0.1119 0.5346 0.7719
O2 0.1758 0.7788 0.0580
O3 0.2194 0.8168 0.4487
O4 0.2796 0.3170 0.0571
O5 0.3265 0.2815 0.4404
O6 0.3968 0.0425 0.7287
O7 0.6032 0.9575 0.2713
O8 0.6735 0.7185 0.5596
O9 0.7204 0.6830 0.9429
O10 0.7806 0.1832 0.5513
O11 0.8242 0.2212 0.9420
O12 0.8881 0.4654 0.2281